Calculated PXRD pattern
Compound: La21Fe8Sb7C12
Radiation: Cu Kα (λ = 1.5418 Å)
Structure: a cell relaxed with GGA-PBE

abc: 16.4518 16.4518 16.4518
angles: 90.00 90.00 90.00
Space group Fm-3m (No. 225)
Inequivalent atoms, fractional coordinates:
La1 0.0000 0.0000 0.0000
La2 0.0000 0.1720 0.1720
La3 0.1327 0.1327 0.3673
Fe1 0.1965 0.1965 0.1965
Sb1 0.0000 0.0000 0.2744
Sb2 0.0000 0.0000 0.5000
C1 0.1101 0.2500 0.2500

Top 10 peaks for 2θ from 10° to 80°, in order of falling intensity:
2θ 28.19, intensity 100, hkl 3 3 3
2θ 32.66, intensity 77, hkl 6 0 0
2θ 32.19, intensity 66, hkl 5 3 1
2θ 30.74, intensity 52, hkl 4 4 0
2θ 54.66, intensity 33, hkl 8 4 4
2θ 46.86, intensity 28, hkl 6 6 0
2θ 42.19, intensity 24, hkl 5 5 3
2θ 75.58, intensity 22, hkl 11 7 1
2θ 50.87, intensity 19, hkl 8 4 2
2θ 62.62, intensity 15, hkl 11 1 1

Calculated PXRD pattern
Compound: LiFe22C6
Radiation: Cu Kα (λ = 1.5418 Å)
Structure: a cell relaxed with GGA-PBE

abc: 10.4480 10.4480 10.4480
angles: 90.00 90.00 90.00
Space group Fm-3m (No. 225)
Inequivalent atoms, fractional coordinates:
Li1 0.0000 0.0000 0.0000
Fe1 0.0000 0.1697 0.1697
Fe2 0.1165 0.1165 0.3835
Fe3 0.2500 0.2500 0.2500
C1 0.0000 0.0000 0.2753

Top 10 peaks for 2θ from 10° to 80°, in order of falling intensity:
2θ 45.09, intensity 100, hkl 3 3 3
2θ 51.76, intensity 44, hkl 5 3 1
2θ 38.54, intensity 42, hkl 4 2 0
2θ 42.38, intensity 23, hkl 4 2 2
2θ 77.53, intensity 22, hkl 6 6 0
2θ 49.34, intensity 21, hkl 4 4 0
2θ 58.61, intensity 13, hkl 6 2 2
2θ 74.96, intensity 11, hkl 6 4 4
2θ 79.44, intensity 11, hkl 5 5 5
2θ 52.55, intensity 10, hkl 6 0 0

Calculated PXRD pattern
Compound: LiNdFeC
Radiation: Cu Kα (λ = 1.5418 Å)
Structure: a cell relaxed with GGA-PBE

abc: 3.4676 3.4676 10.9343
angles: 90.00 90.00 90.00
Space group P4/nmm (No. 129, origin choice 2)
Inequivalent atoms, fractional coordinates:
Li1 0.2500 0.7500 0.0000
Nd1 0.2500 0.2500 0.2807
Fe1 0.2500 0.7500 0.5000
C1 0.2500 0.2500 0.5863

Top 10 peaks for 2θ from 10° to 80°, in order of falling intensity:
2θ 26.98, intensity 100, hkl 1 0 1
2θ 40.31, intensity 69, hkl 1 1 2
2θ 35.74, intensity 45, hkl 1 0 3
2θ 44.54, intensity 25, hkl 1 1 3
2θ 60.28, intensity 22, hkl 2 1 1
2θ 32.76, intensity 22, hkl 0 0 4
2θ 63.57, intensity 20, hkl 2 0 4
2θ 52.80, intensity 20, hkl 2 0 0
2θ 42.09, intensity 19, hkl 1 0 4
2θ 16.21, intensity 17, hkl 0 0 2